(1)
The following is a simulated X-ray diffraction stick pattern of TaSe2. It was derived from a DFT-relaxed cell (PBE, OQMD), using a wavelength of 1.5418 Å.
Lines closer than 0.1° are merged.

Top 12 peaks for 5° ≤ 2θ ≤ 70°, low angle first:
2theta, I/Imax
10.4, 100
30.2, 16
31.5, 7
33.7, 20
36.6, 14
40.0, 26
43.9, 8
48.2, 8
52.7, 6
53.0, 13
53.9, 7
65.9, 8

Crystal structure
```
6
Lattice="1.736 -8.500 0.000 1.736 8.500 0.000 0.000 0.000 6.017" Properties=species:S:1:pos:R:3 pbc="T T T"
Ta 0.000 0.000 0.000
Ta 1.736 0.000 2.955
Se 1.736 6.837 3.994
Se 1.736 1.692 0.967
Se 1.736 -1.692 0.967
Se 1.736 -6.837 3.994
```

=====

(2)
The following is a simulated X-ray diffraction stick pattern of Tb2Ta5Se. It was derived from a DFT-relaxed cell (PBE, OQMD), using a wavelength of 1.5418 Å.
Lines closer than 0.1° are merged.

Top 12 peaks for 5° ≤ 2θ ≤ 70°, low angle first:
2theta, I/Imax
6.7, 100
23.1, 18
30.8, 12
33.8, 19
35.6, 31
38.8, 79
40.9, 11
47.2, 26
59.3, 15
64.2, 12
66.0, 16
68.9, 8

Crystal structure
```
8
Lattice="3.853 0.000 0.000 0.000 3.853 0.000 0.000 0.000 13.241" Properties=species:S:1:pos:R:3 pbc="T T T"
Tb 0.000 0.000 1.730
Tb 0.000 0.000 11.511
Ta 0.000 0.000 6.621
Ta 0.000 1.927 4.271
Ta 0.000 1.927 8.970
Ta 1.927 0.000 4.271
Ta 1.927 0.000 8.970
Se 1.927 1.927 6.621
```

=====

(3)
The following is a simulated X-ray diffraction stick pattern of Ta2Te2Se. It was derived from a DFT-relaxed cell (PBE, OQMD), using a wavelength of 1.5418 Å.
Lines closer than 0.1° are merged.

Top 12 peaks for 5° ≤ 2θ ≤ 70°, low angle first:
2theta, I/Imax
11.9, 100
31.6, 15
34.3, 56
34.5, 21
35.4, 19
37.7, 11
38.3, 14
40.0, 25
43.6, 13
48.3, 15
50.1, 12
52.5, 13

Crystal structure
```
10
Lattice="7.437 -1.741 0.000 7.437 1.741 0.000 -7.200 0.000 10.162" Properties=species:S:1:pos:R:3 pbc="T T T"
Ta 0.249 0.000 1.487
Ta -0.431 0.000 6.157
Ta 8.105 0.000 4.005
Ta 7.425 0.000 8.674
Te 2.615 0.000 3.005
Te 5.709 0.000 0.292
Te 1.965 0.000 9.870
Te 5.059 0.000 7.157
Se -1.256 0.000 3.618
Se 8.930 0.000 6.543
```

=====

(4)
The following is a simulated X-ray diffraction stick pattern of Ta2TeSe3. It was derived from a DFT-relaxed cell (PBE, OQMD), using a wavelength of 1.5418 Å.
Lines closer than 0.1° are merged.

Top 12 peaks for 5° ≤ 2θ ≤ 70°, low angle first:
2theta, I/Imax
8.1, 100
16.2, 3
29.6, 8
30.4, 3
31.8, 7
35.9, 13
38.3, 3
38.5, 3
41.3, 6
41.4, 6
47.8, 3
52.0, 8

Crystal structure
```
6
Lattice="10.945 -1.759 0.000 10.945 1.759 0.000 -0.021 0.000 6.117" Properties=species:S:1:pos:R:3 pbc="T T T"
Ta 0.000 0.000 0.000
Ta 10.971 0.000 2.884
Te 12.831 0.000 5.014
Se 1.712 0.000 1.958
Se 9.372 0.000 4.985
Se 20.213 0.000 1.982
```

=====

(5)
The following is a simulated X-ray diffraction stick pattern of Ta2Te2Se. It was derived from a DFT-relaxed cell (PBE, OQMD), using a wavelength of 1.5418 Å.
Lines closer than 0.1° are merged.

Top 12 peaks for 5° ≤ 2θ ≤ 70°, low angle first:
2theta, I/Imax
12.2, 100
31.8, 15
34.1, 18
34.5, 10
34.7, 40
35.1, 19
37.7, 12
38.1, 14
40.5, 11
43.1, 11
47.7, 13
52.5, 15

Crystal structure
```
10
Lattice="7.262 -1.742 0.000 7.262 1.742 0.000 -6.743 0.000 10.291" Properties=species:S:1:pos:R:3 pbc="T T T"
Ta 0.243 0.000 1.484
Ta -0.234 0.000 6.308
Ta 8.016 0.000 3.983
Ta 7.538 0.000 8.807
Te -1.437 0.000 3.704
Te 5.531 0.000 0.284
Te 2.250 0.000 10.006
Te 9.218 0.000 6.587
Se 2.394 0.000 2.969
Se 5.388 0.000 7.322
```

=====

(6)
The following is a simulated X-ray diffraction stick pattern of YTaSe4. It was derived from a DFT-relaxed cell (PBE, OQMD), using a wavelength of 1.5418 Å.
Lines closer than 0.1° are merged.

Top 12 peaks for 5° ≤ 2θ ≤ 70°, low angle first:
2theta, I/Imax
8.9, 100
13.5, 5
16.2, 4
28.0, 13
30.8, 9
32.8, 8
35.9, 18
38.7, 9
42.5, 11
48.7, 9
50.1, 6
64.3, 4

Crystal structure
```
6
Lattice="1.854 -9.919 0.000 1.854 9.919 0.000 0.000 0.000 6.538" Properties=species:S:1:pos:R:3 pbc="T T T"
Y 0.000 0.000 0.000
Ta 1.854 0.000 3.367
Se 1.854 8.280 2.379
Se 1.854 1.743 5.252
Se 1.854 -1.743 5.252
Se 1.854 -8.280 2.379
```

=====

(7)
The following is a simulated X-ray diffraction stick pattern of Tb4TcSe. It was derived from a DFT-relaxed cell (PBE, OQMD), using a wavelength of 1.5418 Å.
Lines closer than 0.1° are merged.

Top 12 peaks for 5° ≤ 2θ ≤ 70°, low angle first:
2theta, I/Imax
22.2, 17
25.8, 72
36.7, 100
37.1, 86
43.5, 7
45.4, 16
53.1, 31
59.7, 14
60.3, 9
66.0, 18
66.3, 31
67.1, 10

Crystal structure
```
6
Lattice="2.451 1.415 7.877 -2.451 1.415 7.877 0.000 -2.830 7.877" Properties=species:S:1:pos:R:3 pbc="T T T"
Tb 0.000 0.000 2.789
Tb 0.000 0.000 8.662
Tb 0.000 0.000 14.969
Tb 0.000 0.000 20.842
Tc 0.000 0.000 0.000
Se 0.000 0.000 11.816
```

=====

(8)
The following is a simulated X-ray diffraction stick pattern of Tb2TmSe3. It was derived from a DFT-relaxed cell (PBE, OQMD), using a wavelength of 1.5418 Å.
Lines closer than 0.1° are merged.

Top 10 peaks for 5° ≤ 2θ ≤ 70°, low angle first:
2theta, I/Imax
26.8, 6
26.9, 16
31.2, 100
44.5, 37
44.8, 37
52.7, 3
53.0, 8
55.2, 7
55.5, 19
65.0, 12

Crystal structure
```
6
Lattice="4.050 0.000 0.000 -2.025 3.507 0.000 0.000 0.000 9.991" Properties=species:S:1:pos:R:3 pbc="T T T"
Tb 0.000 2.338 1.672
Tb 2.025 1.169 8.318
Tm 0.000 0.000 4.995
Se 0.000 0.000 0.000
Se 0.000 2.338 6.598
Se 2.025 1.169 3.392
```

=====

(9)
The following is a simulated X-ray diffraction stick pattern of TlTc2Se4. It was derived from a DFT-relaxed cell (PBE, OQMD), using a wavelength of 1.5418 Å.
Lines closer than 0.1° are merged.

Top 12 peaks for 5° ≤ 2θ ≤ 70°, low angle first:
2theta, I/Imax
22.6, 74
26.6, 100
32.2, 25
35.2, 17
39.7, 24
42.2, 83
46.1, 96
54.0, 18
59.3, 8
62.5, 24
64.3, 22
67.3, 12

Crystal structure
```
14
Lattice="0.000 5.564 5.564 5.564 0.000 5.564 5.564 5.564 0.000" Properties=species:S:1:pos:R:3 pbc="T T T"
Tl 1.391 1.391 1.391
Tl 9.737 9.737 9.737
Tc 5.564 2.782 2.782
Tc 2.782 5.564 2.782
Tc 2.782 2.782 5.564
Tc 5.564 5.564 5.564
Se 3.009 3.009 3.009
Se 5.337 5.337 3.009
Se 5.337 3.009 5.337
Se 8.119 5.791 5.791
Se 3.009 5.337 5.337
Se 5.791 8.119 5.791
Se 5.791 5.791 8.119
Se 8.119 8.119 8.119
```

=====

(10)
The following is a simulated X-ray diffraction stick pattern of YTc2Se4. It was derived from a DFT-relaxed cell (PBE, OQMD), using a wavelength of 1.5418 Å.
Lines closer than 0.1° are merged.

Top 12 peaks for 5° ≤ 2θ ≤ 70°, low angle first:
2theta, I/Imax
13.9, 37
22.8, 25
26.8, 65
32.4, 73
42.5, 65
46.5, 100
54.4, 11
57.8, 14
59.8, 12
62.9, 8
64.8, 15
67.8, 13

Crystal structure
```
14
Lattice="0.000 5.526 5.526 5.526 0.000 5.526 5.526 5.526 0.000" Properties=species:S:1:pos:R:3 pbc="T T T"
Y 1.381 1.381 1.381
Y 9.670 9.670 9.670
Tc 5.526 2.763 2.763
Tc 2.763 5.526 2.763
Tc 2.763 2.763 5.526
Tc 5.526 5.526 5.526
Se 2.953 2.953 2.953
Se 5.336 5.336 2.953
Se 5.336 2.953 5.336
Se 8.098 5.716 5.716
Se 2.953 5.336 5.336
Se 5.716 8.098 5.716
Se 5.716 5.716 8.098
Se 8.098 8.098 8.098
```

=====

(11)
The following is a simulated X-ray diffraction stick pattern of Zn2TeSe. It was derived from a DFT-relaxed cell (PBE, OQMD), using a wavelength of 1.5418 Å.
Lines closer than 0.1° are merged.

Top 12 peaks for 5° ≤ 2θ ≤ 70°, low angle first:
2theta, I/Imax
21.1, 3
25.9, 100
30.0, 2
33.7, 3
37.1, 2
43.0, 73
50.8, 31
51.0, 15
62.3, 8
62.6, 4
68.7, 6
68.8, 12

Crystal structure
```
4
Lattice="4.214 0.000 0.000 0.000 4.214 0.000 0.000 0.000 5.935" Properties=species:S:1:pos:R:3 pbc="T T T"
Zn 0.000 2.107 1.381
Zn 2.107 0.000 4.554
Te 0.000 0.000 2.968
Se 2.107 2.107 0.000
```

=====

(12)
The following is a simulated X-ray diffraction stick pattern of Th2Se3. It was derived from a DFT-relaxed cell (PBE, OQMD), using a wavelength of 1.5418 Å.
Lines closer than 0.1° are merged.

Top 12 peaks for 5° ≤ 2θ ≤ 70°, low angle first:
2theta, I/Imax
22.1, 65
24.7, 55
28.1, 57
31.3, 33
32.2, 40
33.2, 100
36.0, 29
39.5, 31
41.9, 54
44.6, 38
46.4, 30
66.3, 34

Crystal structure
```
20
Lattice="11.370 0.000 0.000 0.000 4.065 0.000 0.000 0.000 11.424" Properties=species:S:1:pos:R:3 pbc="T T T"
Th 0.229 1.016 2.117
Th 2.257 1.016 5.870
Th 3.428 3.049 0.158
Th 5.456 3.049 7.828
Th 5.914 1.016 3.595
Th 7.942 1.016 11.265
Th 9.113 3.049 5.554
Th 11.141 3.049 9.307
Se 0.596 3.049 4.323
Se 1.391 1.016 10.783
Se 2.495 3.049 8.052
Se 3.190 1.016 2.340
Se 4.294 3.049 5.072
Se 5.089 1.016 10.035
Se 6.281 3.049 1.389
Se 7.076 1.016 6.352
Se 8.180 3.049 9.084
Se 8.875 1.016 3.372
Se 9.979 3.049 0.640
Se 10.774 1.016 7.101
```

=====

(13)
The following is a simulated X-ray diffraction stick pattern of ZrTl4Se4. It was derived from a DFT-relaxed cell (PBE, OQMD), using a wavelength of 1.5418 Å.
Lines closer than 0.1° are merged.

Top 12 peaks for 5° ≤ 2θ ≤ 70°, low angle first:
2theta, I/Imax
25.3, 22
25.9, 38
26.6, 20
29.6, 67
30.2, 100
41.9, 20
42.0, 18
43.1, 13
43.3, 17
43.6, 25
43.7, 18
51.9, 11

Crystal structure
```
45
Lattice="9.363 0.000 0.000 -0.032 9.372 0.000 -3.992 -4.295 15.077" Properties=species:S:1:pos:R:3 pbc="T T T"
Zr 0.000 0.000 0.000
Zr -0.638 -2.415 9.040
Zr -1.389 4.258 12.066
Zr 6.729 0.818 3.012
Zr 5.978 7.491 6.037
Tl -1.246 3.772 6.045
Tl -0.359 6.369 3.086
Tl 1.133 2.881 2.930
Tl 0.487 0.364 6.026
Tl 2.067 5.667 0.019
Tl -0.214 -2.088 14.965
Tl 1.386 3.163 9.161
Tl 0.632 0.486 12.088
Tl 2.213 5.494 6.071
Tl 3.054 8.023 2.994
Tl 2.286 -2.946 12.083
Tl 3.127 -0.418 9.006
Tl 4.709 4.591 2.989
Tl 3.954 1.913 5.916
Tl 5.554 7.164 0.112
Tl 3.273 -0.591 15.059
Tl 4.853 4.712 9.052
Tl 4.207 2.196 12.147
Tl 5.699 -1.293 11.991
Tl 6.586 1.304 9.032
Se -3.299 -1.664 15.032
Se 0.063 0.079 2.740
Se -0.701 6.918 6.312
Se -1.415 4.279 9.326
Se -2.087 1.678 12.105
Se -0.843 -2.414 11.758
Se 0.016 0.170 9.110
Se -1.369 4.477 14.808
Se 1.902 6.223 9.019
Se 1.195 3.613 12.145
Se 4.145 1.463 2.932
Se 3.439 -1.147 6.058
Se 6.709 0.599 0.269
Se 5.324 4.907 5.967
Se 6.183 7.490 3.319
Se 7.427 3.398 2.973
Se 6.755 0.797 5.751
Se 6.041 -1.841 8.765
Se 5.277 4.998 12.337
Se 8.639 6.740 0.045
```